This entry pairs a crystal structure of Dy4FeSe7 with its computed X-ray diffraction stick pattern. Radiation: Cu Ka. Structure: a structure optimized by DFT (GGA-PBE).

Crystal structure
```
data_Dy4FeSe7
_chemical_formula_sum 'Dy8 Fe2 Se14'
_cell_length_a 12.970
_cell_length_b 3.961
_cell_length_c 11.948
_cell_angle_alpha 90.00
_cell_angle_beta 104.78
_cell_angle_gamma 90.00
_symmetry_space_group_name_H-M 'C 1 m 1'
_symmetry_Int_Tables_number 8
loop_
_symmetry_equiv_pos_as_xyz
'x,y,z'
'x,-y,z'
'x+1/2,y+1/2,z'
'x+1/2,-y+1/2,z'
loop_
_atom_site_label
_atom_site_fract_x
_atom_site_fract_y
_atom_site_fract_z
Dy1 0.000 0.000 0.000
Dy2 0.083 0.500 0.353
Dy3 0.196 0.500 0.798
Dy4 0.390 0.000 0.590
Fe1 0.306 0.500 0.218
Se1 0.034 0.000 0.739
Se2 0.163 0.500 0.021
Se3 0.206 0.000 0.284
Se4 0.230 0.500 0.574
Se5 0.358 0.000 0.843
Se6 0.421 0.000 0.144
Se7 0.450 0.500 0.427
```

Top 8 peaks for 2θ from 10° to 90°, in order of rising 2θ:
23.45°, intensity 79.2, (2 0 2); 23.83°, intensity 72.3, (2 0 -3); 30.70°, intensity 71.1, (3 1 -1); 31.11°, intensity 91.7, (3 1 0); 32.25°, intensity 100.0, (3 1 -2); 33.41°, intensity 92.2, (3 1 1); 40.76°, intensity 67.6, (1 1 4); 45.83°, intensity 93.1, (0 2 0)